Structure and computed XRD peak list of Ca3AgPd4 (DFT lattice parameters and positions (GGA-PBE); Cu Kα X-rays).
Peak positions follow from Bragg's law for the DFT cell and can differ from measured ones.

Atomic structure:
```
data_Ca3AgPd4
_cell_length_a 4.424
_cell_length_b 8.928
_cell_length_c 8.712
_cell_angle_alpha 90.00
_cell_angle_beta 90.00
_cell_angle_gamma 90.00
_symmetry_space_group_name_H-M 'P 1'
_symmetry_Int_Tables_number 1
_symmetry_space_group_name_Hall 'P 1'
loop_
_atom_site_label
_atom_site_type_symbol
_atom_site_fract_x
_atom_site_fract_y
_atom_site_fract_z
Ca1 Ca 0.250 0.031 0.177
Ca2 Ca 0.250 0.469 0.177
Ca3 Ca 0.250 0.750 0.600
Ca4 Ca 0.750 0.250 0.400
Ca5 Ca 0.750 0.531 0.823
Ca6 Ca 0.750 0.969 0.823
Ag1 Ag 0.250 0.250 0.877
Ag2 Ag 0.750 0.750 0.123
Pd1 Pd 0.250 0.087 0.573
Pd2 Pd 0.250 0.413 0.573
Pd3 Pd 0.250 0.750 0.297
Pd4 Pd 0.250 0.750 0.939
Pd5 Pd 0.750 0.250 0.061
Pd6 Pd 0.750 0.250 0.703
Pd7 Pd 0.750 0.587 0.427
Pd8 Pd 0.750 0.913 0.427
```

The 10 most intense peaks (5° ≤ 2θ ≤ 70°), by angle:
2θ = 14.20°, I = 84.8
2θ = 19.89°, I = 32.5
2θ = 22.38°, I = 38.0
2θ = 35.22°, I = 100.0
2θ = 36.38°, I = 62.5
2θ = 37.03°, I = 95.3
2θ = 37.87°, I = 32.1
2θ = 38.43°, I = 42.3
2θ = 40.80°, I = 60.8
2θ = 43.54°, I = 26.7

---

Structure and computed XRD peak list of PmHoO4 (DFT lattice parameters and positions (GGA-PBE); Cu Kα X-rays).
Peak positions follow from Bragg's law for the DFT cell and can differ from measured ones.

Atomic structure:
```
data_PmHoO4
_cell_length_a 3.862
_cell_length_b 3.862
_cell_length_c 6.352
_cell_angle_alpha 96.53
_cell_angle_beta 96.53
_cell_angle_gamma 60.62
_symmetry_space_group_name_H-M 'P 1'
_symmetry_Int_Tables_number 1
_symmetry_space_group_name_Hall 'P 1'
loop_
_atom_site_label
_atom_site_type_symbol
_atom_site_fract_x
_atom_site_fract_y
_atom_site_fract_z
Pm1 Pm 0.000 0.000 0.000
Ho1 Ho 0.387 0.387 0.460
O1 O 0.046 0.046 0.382
O2 O 0.346 0.346 0.097
O3 O 0.612 0.612 0.788
O4 O 0.782 0.782 0.654
```

The 10 most intense peaks (5° ≤ 2θ ≤ 70°), by angle:
2θ = 26.97°, I = 33.3
2θ = 28.35°, I = 44.9
2θ = 29.29°, I = 100.0
2θ = 31.01°, I = 37.4
2θ = 32.20°, I = 22.6
2θ = 36.74°, I = 16.1
2θ = 46.59°, I = 19.6
2θ = 47.39°, I = 24.2
2θ = 49.66°, I = 27.8
2θ = 52.97°, I = 23.6

---

Structure and computed XRD peak list of Pm3Zn3Ru2 (DFT lattice parameters and positions (GGA-PBE); Cu Kα X-rays).
Peak positions follow from Bragg's law for the DFT cell and can differ from measured ones.

Atomic structure:
```
data_Pm3Zn3Ru2
_cell_length_a 5.606
_cell_length_b 5.606
_cell_length_c 16.452
_cell_angle_alpha 90.00
_cell_angle_beta 90.00
_cell_angle_gamma 138.00
_symmetry_space_group_name_H-M 'P 1'
_symmetry_Int_Tables_number 1
_symmetry_space_group_name_Hall 'P 1'
loop_
_atom_site_label
_atom_site_type_symbol
_atom_site_fract_x
_atom_site_fract_y
_atom_site_fract_z
Pm1 Pm 0.063 0.937 0.605
Pm2 Pm 0.063 0.937 0.895
Pm3 Pm 0.338 0.662 0.750
Pm4 Pm 0.662 0.338 0.250
Pm5 Pm 0.937 0.063 0.105
Pm6 Pm 0.937 0.063 0.395
Zn1 Zn 0.341 0.659 0.530
Zn2 Zn 0.341 0.659 0.970
Zn3 Zn 0.371 0.629 0.250
Zn4 Zn 0.629 0.371 0.750
Zn5 Zn 0.659 0.341 0.030
Zn6 Zn 0.659 0.341 0.470
Ru1 Ru 0.230 0.770 0.120
Ru2 Ru 0.230 0.770 0.380
Ru3 Ru 0.770 0.230 0.620
Ru4 Ru 0.770 0.230 0.880
```

The 10 most intense peaks (5° ≤ 2θ ≤ 70°), by angle:
2θ = 32.30°, I = 100.0
2θ = 34.03°, I = 31.0
2θ = 34.48°, I = 30.2
2θ = 34.71°, I = 29.6
2θ = 36.32°, I = 26.8
2θ = 37.89°, I = 63.1
2θ = 40.68°, I = 23.7
2θ = 40.88°, I = 21.4
2θ = 44.03°, I = 24.0
2θ = 45.13°, I = 36.5

---

Structure and computed XRD peak list of CeUGa2O8 (DFT lattice parameters and positions (GGA-PBE); Cu Kα X-rays).
Peak positions follow from Bragg's law for the DFT cell and can differ from measured ones.

Atomic structure:
```
data_CeUGa2O8
_cell_length_a 4.775
_cell_length_b 4.775
_cell_length_c 7.215
_cell_angle_alpha 95.37
_cell_angle_beta 95.37
_cell_angle_gamma 83.79
_symmetry_space_group_name_H-M 'P 1'
_symmetry_Int_Tables_number 1
_symmetry_space_group_name_Hall 'P 1'
loop_
_atom_site_label
_atom_site_type_symbol
_atom_site_fract_x
_atom_site_fract_y
_atom_site_fract_z
Ce1 Ce 0.000 0.000 0.000
U1 U 0.000 0.000 0.500
Ga1 Ga 0.456 0.456 0.793
Ga2 Ga 0.544 0.544 0.207
O1 O 0.203 0.786 0.740
O2 O 0.214 0.797 0.260
O3 O 0.275 0.275 0.556
O4 O 0.317 0.317 0.005
O5 O 0.683 0.683 0.995
O6 O 0.725 0.725 0.444
O7 O 0.786 0.203 0.740
O8 O 0.797 0.214 0.260
```

The 10 most intense peaks (5° ≤ 2θ ≤ 70°), by angle:
2θ = 18.76°, I = 72.8
2θ = 21.63°, I = 36.2
2θ = 25.26°, I = 95.2
2θ = 27.99°, I = 79.0
2θ = 30.01°, I = 100.0
2θ = 32.62°, I = 78.5
2θ = 37.78°, I = 36.5
2θ = 38.05°, I = 39.6
2θ = 50.80°, I = 29.7
2θ = 51.15°, I = 33.0

---

Question: What is the formula in the second record?
Answer: PmHoO4